Entry 1:
Calculated PXRD pattern
Compound: KAc4V3O12
Radiation: Cu Ka
Structure: a PBE+U-relaxed structure

Cell and atoms:
```
data_KAc4V3O12
_cell_length_a 8.7903
_cell_length_b 8.7903
_cell_length_c 8.7903
_cell_angle_alpha 90.00
_cell_angle_beta 90.00
_cell_angle_gamma 90.00
_symmetry_space_group_name_H-M 'I m -3'
_symmetry_Int_Tables_number 204
_symmetry_space_group_name_Hall '-I 2 2 3'
loop_
_atom_site_label
_atom_site_fract_x
_atom_site_fract_y
_atom_site_fract_z
K1 0.0000 0.0000 0.0000
Ac1 0.2500 0.2500 0.2500
V1 0.0000 0.0000 0.5000
O1 0.0000 0.1497 0.3427
```

Main lines, low angle first (5° ≤ 2θ ≤ 70°):
| index | two_theta | I (rel.) |
| --- | --- | --- |
| 2 0 0 | 20.20 | 468 |
| 2 2 0 | 28.73 | 1000 |
| 3 1 0 | 32.20 | 16 |
| 2 2 2 | 35.37 | 161 |
| 4 0 0 | 41.07 | 195 |
| 4 0 2 | 46.18 | 294 |
| 4 2 2 | 50.89 | 478 |
| 4 4 0 | 59.49 | 127 |
| 4 4 2 | 63.50 | 106 |
| 6 2 0 | 67.38 | 196 |

---

Entry 2:
Calculated PXRD pattern
Compound: K3AcV4O12
Radiation: Cu Ka
Structure: a PBE+U-relaxed structure

Cell and atoms:
```
data_K3AcV4O12
_cell_length_a 12.2433
_cell_length_b 12.2433
_cell_length_c 9.3955
_cell_angle_alpha 90.00
_cell_angle_beta 90.00
_cell_angle_gamma 120.00
_symmetry_space_group_name_H-M 'R 3 2'
_symmetry_Int_Tables_number 155
_symmetry_space_group_name_Hall 'R 3 2"'
loop_
_atom_site_label
_atom_site_fract_x
_atom_site_fract_y
_atom_site_fract_z
K1 0.0000 0.5133 0.0000
Ac1 0.0000 0.0000 0.0000
V1 0.0000 0.0000 0.5000
V2 0.0000 0.4904 0.5000
O1 0.0000 0.6260 0.5000
O2 0.0000 0.8629 0.5000
O3 0.0213 0.1836 0.8443
```

Main lines, low angle first (5° ≤ 2θ ≤ 70°):
| index | two_theta | I (rel.) |
| --- | --- | --- |
| 1 0 1 | 12.59 | 452 |
| 1 1 0 | 14.47 | 343 |
| 0 1 2 | 20.68 | 151 |
| 2 1 1 | 24.14 | 215 |
| 2 0 2 | 25.33 | 1000 |
| 2 2 0 | 29.18 | 419 |
| 0 4 2 | 39.00 | 266 |
| 0 2 4 | 42.07 | 241 |
| 4 2 2 | 49.45 | 215 |
| 6 0 0 | 51.74 | 183 |